Entry 1:
The following is a computed powder diffractogram of Ac7Pm3Ho. It was derived from a PBE-relaxed structure, using λ = 1.5418 Å (Cu Kα).
Neutral-atom scattering factors, no anomalous dispersion.

Crystal structure
Cell lengths 12.274, 11.164, 6.923 Å; angles 90.00, 96.54, 90.00 degrees
Space group C2/m (No. 12)
One atom of each set of equivalent atoms:
Ac1 0.000 0.000 0.000 x2
Ac2 0.238 0.500 0.227 x4
Ac3 0.249 0.329 0.740 x8
Pm1 0.000 0.337 0.000 x4
Pm2 0.000 0.500 0.500 x2
Ho1 0.000 0.000 0.500 x2

Most intense lines, 2θ = 5–70°, by angle:
hkl 1 3 -1, d 3.205, intensity 22.0; hkl 2 0 -2, d 3.153, intensity 72.1; hkl 1 3 1, d 3.119, intensity 100.0; hkl 4 0 0, d 3.048, intensity 65.4; hkl 2 0 2, d 2.859, intensity 53.8; hkl 3 3 -1, d 2.620, intensity 63.7; hkl 1 3 -3, d 1.957, intensity 27.0; hkl 5 3 1, d 1.907, intensity 25.7; hkl 2 6 -2, d 1.602, intensity 34.8; hkl 4 6 0, d 1.588, intensity 19.4

=====

Entry 2:
The following is a computed powder diffractogram of Ac3Pm2Ho. It was derived from a PBE-relaxed structure, using λ = 1.5418 Å (Cu Kα).
Neutral-atom scattering factors, no anomalous dispersion.

Crystal structure
Cell lengths 9.548, 10.641, 9.417 Å; angles 90.00, 101.32, 90.00 degrees
Space group C2/c (No. 15)
One atom of each set of equivalent atoms:
Ac1 0.000 0.054 0.250 x4
Ac2 0.213 0.419 0.978 x8
Pm1 0.135 0.251 0.618 x8
Ho1 0.000 0.377 0.250 x4

Most intense lines, 2θ = 5–70°, by angle:
hkl 2 0 -2, d 3.667, intensity 21.3; hkl 1 3 1, d 3.055, intensity 100.0; hkl 2 2 -2, d 3.020, intensity 86.2; hkl 2 0 2, d 3.006, intensity 46.8; hkl 1 1 -3, d 2.988, intensity 54.3; hkl 1 3 -3, d 2.340, intensity 15.3; hkl 0 2 4, d 2.118, intensity 15.5; hkl 4 0 -4, d 1.834, intensity 14.1; hkl 3 3 3, d 1.744, intensity 25.3; hkl 3 3 -5, d 1.567, intensity 15.7